Theoretical powder XRD pattern of Ti2CdO6 for CuKα, from a cell relaxed with GGA-PBE.
Kinematic intensities with the Lorentz-polarization factor, no thermal factor.

Atomic structure:
```
Ti2CdO6
1.0
6.014 0.000 0.000
0.000 6.149 0.000
-0.599 0.000 6.766
Ti Cd O
4 2 12
Direct
0.003 0.000 0.158 Ti
0.418 0.468 0.615 Ti
0.582 0.968 0.385 Ti
0.997 0.500 0.842 Ti
0.091 0.973 0.668 Cd
0.909 0.473 0.332 Cd
0.038 0.302 0.040 O
0.104 0.326 0.622 O
0.270 0.664 0.755 O
0.289 0.982 0.257 O
0.332 0.505 0.341 O
0.460 0.125 0.616 O
0.540 0.625 0.384 O
0.668 0.005 0.659 O
0.711 0.482 0.743 O
0.730 0.164 0.245 O
0.896 0.826 0.378 O
0.962 0.802 0.960 O
```

The 10 most intense peaks (15° ≤ 2θ ≤ 90°), sorted by position:
d (Å)	I (rel.)	h k l
4.300	47	1 0 1
3.075	74	0 2 0
2.964	41	0 1 2
2.838	35	1 0 2
2.741	100	1 1 -2
2.693	45	2 1 0
2.576	37	1 1 2
2.085	31	1 2 2
1.704	33	1 3 -2
1.692	21	2 3 0